# GdFe3B4O12
Simulated powder XRD pattern, Cu Kα (λ = 1.5418 Å). Input: DFT lattice parameters and positions (PBE+U).
Intensities are scaled so that the largest is 1000.

Cell and atoms:
Unit cell a=9.6550 b=9.6550 c=7.6750 alpha=90.00 beta=90.00 gamma=120.00
Positions (direct):
Gd1 0.0000 0.3333 0.1667
Gd2 0.3333 0.0000 0.8333
Gd3 0.6667 0.6667 0.5000
Fe1 0.0000 0.8838 0.1667
Fe2 0.1162 0.1162 0.5000
Fe3 0.2155 0.6658 0.4971
Fe4 0.3342 0.5497 0.8304
Fe5 0.4503 0.7845 0.1637
Fe6 0.5497 0.3342 0.1696
Fe7 0.6658 0.2155 0.5029
Fe8 0.7845 0.4503 0.8363
Fe9 0.8838 0.0000 0.8333
B1 0.0000 0.3328 0.6667
B2 0.0000 0.7802 0.6667
B3 0.1170 0.6692 0.9963
B4 0.2198 0.2198 0.0000
B5 0.3308 0.4477 0.3296
B6 0.3328 0.0000 0.3333
B7 0.4477 0.3308 0.6704
B8 0.5523 0.8830 0.6630
B9 0.6672 0.6672 0.0000
B10 0.6692 0.1170 0.0037
B11 0.7802 0.0000 0.3333
B12 0.8830 0.5523 0.3370
O1 0.0000 0.1893 0.6667
O2 0.0000 0.9237 0.6667
O3 0.0205 0.5426 0.3496
O4 0.0763 0.0763 0.0000
O5 0.1213 0.8137 0.0148
O6 0.1438 0.4760 0.6643
O7 0.1461 0.7871 0.6506
O8 0.1863 0.3076 0.3481
O9 0.1893 0.0000 0.3333
O10 0.2129 0.3589 0.9839
O11 0.2628 0.6743 0.9896
O12 0.3076 0.1863 0.6519
O13 0.3257 0.5885 0.3229
O14 0.3323 0.8562 0.3309
O15 0.3589 0.2129 0.0161
O16 0.4115 0.7372 0.6562
O17 0.4574 0.4779 0.6829
O18 0.4760 0.1438 0.3357
O19 0.4779 0.4574 0.3171
O20 0.5221 0.9795 0.0163
O21 0.5240 0.6677 0.9976
O22 0.5426 0.0205 0.6504
O23 0.5885 0.3257 0.6771
O24 0.6411 0.8539 0.3173
O25 0.6677 0.5240 0.0024
O26 0.6743 0.2628 0.0104
O27 0.6924 0.8787 0.6814
O28 0.7372 0.4115 0.3438
O29 0.7871 0.1461 0.3494
O30 0.8107 0.8107 0.0000
O31 0.8137 0.1213 0.9852
O32 0.8539 0.6411 0.6827
O33 0.8562 0.3323 0.6691
O34 0.8787 0.6924 0.3186
O35 0.9237 0.0000 0.3333
O36 0.9795 0.5221 0.9837

The 10 most intense peaks (2θ = 10–80°), most intense first:
d 2.827, 2θ = 31.65°, rel. 1000
d 3.671, 2θ = 24.24°, rel. 807
d 5.654, 2θ = 15.67°, rel. 304
d 1.756, 2θ = 52.09°, rel. 294
d 2.922, 2θ = 30.59°, rel. 268
d 2.414, 2θ = 37.25°, rel. 255
d 4.827, 2θ = 18.38°, rel. 245
d 1.985, 2θ = 45.71°, rel. 206
d 1.744, 2θ = 52.47°, rel. 200
d 2.440, 2θ = 36.84°, rel. 178